[1]
# Na3Zn7Ga2
Theoretical X-ray powder pattern, Cu Kα, 1.54184 Å. Input: DFT lattice parameters and positions (PBE).

Crystal structure
Unit cell a=9.3431 b=9.3431 c=9.3431 alpha=33.78 beta=33.78 gamma=33.78
Fractional coordinates of all 12 atoms:
Na1 0.0000 0.0000 0.0000
Na2 0.1440 0.1440 0.1440
Na3 0.8560 0.8560 0.8560
Zn1 0.0802 0.5870 0.5870
Zn2 0.4130 0.4130 0.9198
Zn3 0.4130 0.9198 0.4130
Zn4 0.5000 0.5000 0.5000
Zn5 0.5870 0.0802 0.5870
Zn6 0.5870 0.5870 0.0802
Zn7 0.9198 0.4130 0.4130
Ga1 0.3343 0.3343 0.3343
Ga2 0.6657 0.6657 0.6657

The 10 most intense peaks (2θ from 10° to 80°), low angle first:
d_spacing	I/Imax
4.629	68
2.342	20
2.311	100
2.215	14
2.200	32
2.148	52
2.138	16
1.995	32
1.477	22
1.357	22


[2]
# Y5Ho3
Theoretical X-ray powder pattern, Cu Kα, 1.54184 Å. Input: DFT lattice parameters and positions (PBE).

Crystal structure
Unit cell a=3.6348 b=5.6280 c=12.5868 alpha=90.00 beta=90.00 gamma=90.00
Fractional coordinates of all 8 atoms:
Y1 0.0000 0.0000 0.0000
Y2 0.0000 0.0000 0.4958
Y3 0.0000 0.5000 0.8323
Y4 0.5000 0.0000 0.7474
Y5 0.5000 0.5000 0.5796
Ho1 0.0000 0.5000 0.3288
Ho2 0.5000 0.0000 0.2481
Ho3 0.5000 0.5000 0.0825

The 10 most intense peaks (2θ from 10° to 80°), low angle first:
d_spacing	I/Imax
3.147	24
2.814	23
2.747	100
2.098	15
1.817	19
1.611	20
1.526	21
1.516	16
1.373	4
1.206	7


[3]
# CePtN
Theoretical X-ray powder pattern, Cu Kα, 1.54184 Å. Input: DFT lattice parameters and positions (PBE).

Crystal structure
Unit cell a=7.7800 b=7.7800 c=7.7800 alpha=150.92 beta=150.92 gamma=41.59
Fractional coordinates of all 6 atoms:
Ce1 0.1703 0.1703 0.0000
Ce2 0.8297 0.8297 0.0000
Pt1 0.0000 0.5000 0.5000
Pt2 0.5000 0.0000 0.5000
N1 0.2500 0.7500 0.5000
N2 0.7500 0.2500 0.5000

The 10 most intense peaks (2θ from 10° to 80°), low angle first:
d_spacing	I/Imax
7.273	45
3.773	19
3.637	21
3.042	47
2.582	100
2.424	33
2.200	68
1.953	41
1.520	58
1.218	20


Q: What is the formula in the first record?
A: Na3Zn7Ga2